Entry 1:
Calculated X-ray diffraction stick pattern
Compound: HfTc2W
Radiation: λ = 1.5418 Å (Cu Kα)
Structure: DFT lattice parameters and positions (GGA-PBE)

Atomic structure:
```
HfTc2W
1.0
6.383 0.000 0.000
0.000 6.383 0.000
0.000 0.000 6.383
Hf Tc W
4 8 4
Cartesian
0.000 0.000 0.000 Hf
0.000 3.192 3.192 Hf
3.192 0.000 3.192 Hf
3.192 3.192 0.000 Hf
1.596 1.596 1.596 Tc
1.596 1.596 4.788 Tc
1.596 4.788 1.596 Tc
1.596 4.788 4.788 Tc
4.788 1.596 1.596 Tc
4.788 1.596 4.788 Tc
4.788 4.788 1.596 Tc
4.788 4.788 4.788 Tc
0.000 0.000 3.192 W
0.000 3.192 0.000 W
3.192 0.000 0.000 W
3.192 3.192 3.192 W
```

The 7 most intense peaks (2θ = 10–90°), in order of rising 2θ:
2θ = 27.95°, rel. 10; 2θ = 39.95°, rel. 100; 2θ = 49.46°, rel. 3; 2θ = 57.77°, rel. 17; 2θ = 65.38°, rel. 4; 2θ = 72.55°, rel. 34; 2θ = 86.18°, rel. 11

---

Entry 2:
Calculated X-ray diffraction stick pattern
Compound: HfTe5
Radiation: λ = 1.5418 Å (Cu Kα)
Structure: DFT lattice parameters and positions (GGA-PBE)

Atomic structure:
```
HfTe5
1.0
2.015 -7.927 0.000
2.015 7.927 0.000
0.000 0.000 13.840
Hf Te
2 10
Cartesian
2.015 4.950 10.380 Hf
2.015 -4.950 3.460 Hf
2.015 5.194 3.460 Te
2.015 3.389 7.838 Te
2.015 3.389 12.921 Te
2.015 1.315 2.070 Te
2.015 1.315 4.850 Te
2.015 -1.315 8.990 Te
2.015 -1.315 11.770 Te
2.015 -3.389 0.919 Te
2.015 -3.389 6.001 Te
2.015 -5.194 10.380 Te
```

The 10 most intense peaks (2θ = 10–90°), in order of rising 2θ:
2θ = 11.16°, rel. 100; 2θ = 12.83°, rel. 76; 2θ = 28.59°, rel. 59; 2θ = 29.72°, rel. 24; 2θ = 30.74°, rel. 67; 2θ = 34.63°, rel. 30; 2θ = 38.39°, rel. 51; 2θ = 39.92°, rel. 32; 2θ = 40.74°, rel. 23; 2θ = 44.98°, rel. 24

---

Entry 3:
Calculated X-ray diffraction stick pattern
Compound: Hf2Te3
Radiation: λ = 1.5418 Å (Cu Kα)
Structure: DFT lattice parameters and positions (GGA-PBE)

Atomic structure:
```
Hf2Te3
1.0
3.496 2.019 6.665
-3.496 2.019 6.665
0.000 -4.037 6.665
Hf Te
4 6
Cartesian
0.000 0.000 0.000 Hf
0.000 0.000 3.202 Hf
0.000 0.000 9.997 Hf
0.000 0.000 16.793 Hf
-2.296 -0.095 8.239 Te
-1.066 -2.036 11.756 Te
1.230 -1.941 8.239 Te
-1.230 1.941 11.756 Te
1.066 2.036 8.239 Te
2.296 0.095 11.756 Te
```

The 10 most intense peaks (2θ = 10–90°), in order of rising 2θ:
2θ = 13.28°, rel. 14; 2θ = 28.84°, rel. 97; 2θ = 37.28°, rel. 100; 2θ = 44.91°, rel. 53; 2θ = 48.55°, rel. 18; 2θ = 54.25°, rel. 16; 2θ = 59.73°, rel. 26; 2θ = 73.00°, rel. 13; 2θ = 73.73°, rel. 22; 2θ = 77.74°, rel. 23

---

Entry 4:
Calculated X-ray diffraction stick pattern
Compound: Hf3TiTe20
Radiation: λ = 1.5418 Å (Cu Kα)
Structure: DFT lattice parameters and positions (GGA-PBE)

Atomic structure:
```
Hf3TiTe20
1.0
27.464 0.000 0.000
0.000 2.003 7.545
0.000 -2.003 7.545
Hf Ti Te
3 1 20
Cartesian
0.000 0.000 0.000 Hf
6.875 0.000 5.570 Hf
20.589 0.000 5.570 Hf
13.732 0.000 0.003 Ti
0.000 0.000 5.309 Te
1.389 0.000 9.209 Te
2.521 0.000 13.520 Te
4.349 0.000 7.138 Te
5.481 0.000 11.453 Te
6.868 0.000 0.257 Te
8.260 0.000 11.450 Te
9.406 0.000 7.139 Te
11.278 0.000 13.564 Te
12.364 0.000 9.125 Te
13.732 0.000 5.399 Te
15.099 0.000 9.125 Te
16.186 0.000 13.564 Te
18.058 0.000 7.139 Te
19.204 0.000 11.450 Te
20.595 0.000 0.257 Te
21.982 0.000 11.453 Te
23.115 0.000 7.138 Te
24.942 0.000 13.520 Te
26.074 0.000 9.209 Te
```

The 10 most intense peaks (2θ = 10–90°), in order of rising 2θ:
2θ = 11.73°, rel. 100; 2θ = 12.89°, rel. 44; 2θ = 24.47°, rel. 37; 2θ = 28.55°, rel. 36; 2θ = 29.24°, rel. 84; 2θ = 31.38°, rel. 97; 2θ = 34.73°, rel. 48; 2θ = 34.93°, rel. 49; 2θ = 39.63°, rel. 58; 2θ = 40.26°, rel. 41

---

Question: Number 1 is which compound?
Answer: HfTc2W